[1]
Structure and simulated powder diffraction line list of Sm2HoIr3 (a PBE-relaxed structure; Cu Kα, 1.54184 Å).
Peak positions follow from Bragg's law for the DFT cell and can differ from measured ones.

Structural model:
```
6
Lattice="-2.3558 2.8423 5.1048 2.3558 -2.8423 5.1048 2.3558 2.8423 -5.1048" Properties=species:S:1:pos:R:3 pbc="T T T"
Sm 0.0000 0.0000 1.7372
Sm 0.0000 0.0000 8.4724
Ho 0.0000 0.0000 5.1048
Ir 2.3558 0.0000 0.0000
Ir 2.3558 0.0000 3.5864
Ir 0.0000 2.8423 1.5184
```

The 12 most intense peaks (2θ = 10–90°), in order of falling intensity:
2θ/deg	d_spacing	I (rel.)
32.5	2.759	100
45.8	1.980	77
31.5	2.842	57
38.2	2.356	34
50.3	1.814	31
74.4	1.275	19
75.2	1.263	18
76.8	1.241	15
65.5	1.426	13
63.7	1.460	13
53.9	1.702	11
68.0	1.379	11

=====

[2]
Structure and simulated powder diffraction line list of Ho2Sn5Ir3 (a PBE-relaxed structure; Cu Kα, 1.54184 Å).
Peak positions follow from Bragg's law for the DFT cell and can differ from measured ones.

Structural model:
```
20
Lattice="2.2054 -13.2880 0.0000 2.2054 13.2880 0.0000 0.0000 0.0000 7.2903" Properties=species:S:1:pos:R:3 pbc="T T T"
Ho 2.2054 12.6597 3.6451
Ho 2.2054 4.5538 3.8871
Ho 2.2054 -4.5538 0.2420
Ho 2.2054 -12.6597 0.0000
Sn 2.2054 10.6974 6.3759
Sn 2.2054 7.8324 2.3310
Sn 2.2054 7.7404 5.4841
Sn 2.2054 3.1905 7.2689
Sn 2.2054 1.2598 4.8270
Sn 2.2054 -1.2598 1.1818
Sn 2.2054 -3.1905 3.6238
Sn 2.2054 -7.7404 1.8389
Sn 2.2054 -7.8324 5.9762
Sn 2.2054 -10.6974 2.7308
Ir 2.2054 10.4704 1.8043
Ir 2.2054 5.9360 0.2671
Ir 2.2054 1.3117 2.0363
Ir 2.2054 -1.3117 5.6814
Ir 2.2054 -5.9360 3.9122
Ir 2.2054 -10.4704 5.4495
```

The 12 most intense peaks (2θ = 10–90°), in order of falling intensity:
2θ/deg	d_spacing	I (rel.)
33.5	2.678	100
40.9	2.205	29
44.5	2.035	17
36.6	2.454	16
36.0	2.497	15
43.7	2.070	14
69.8	1.348	12
63.0	1.475	11
42.7	2.120	11
55.6	1.653	10
39.5	2.282	7
23.5	3.785	7

=====

[3]
Structure and simulated powder diffraction line list of SrHo2Ir9 (a PBE-relaxed structure; Cu Kα, 1.54184 Å).
Peak positions follow from Bragg's law for the DFT cell and can differ from measured ones.

Structural model:
```
12
Lattice="2.6797 1.5471 8.7109 -2.6797 1.5471 8.7109 0.0000 -3.0943 8.7109" Properties=species:S:1:pos:R:3 pbc="T T T"
Sr 0.0000 0.0000 0.0000
Ho 0.0000 0.0000 3.6294
Ho 0.0000 0.0000 22.5032
Ir -1.3395 -0.7734 10.8762
Ir 0.0000 0.0000 8.6975
Ir 0.0000 -1.5467 15.2564
Ir -1.3395 0.7734 15.2564
Ir 0.0000 0.0000 13.0663
Ir 1.3395 -0.7734 10.8762
Ir 0.0000 1.5468 10.8762
Ir 0.0000 0.0000 17.4351
Ir 1.3395 0.7734 15.2564
```

The 12 most intense peaks (2θ = 10–90°), in order of falling intensity:
2θ/deg	d_spacing	I (rel.)
39.5	2.283	100
42.6	2.121	48
19.4	4.570	30
39.0	2.312	26
70.3	1.340	26
41.5	2.178	24
63.9	1.458	24
42.8	2.115	22
46.1	1.971	22
85.0	1.141	19
33.4	2.680	18
41.3	2.187	16

=====

[4]
Structure and simulated powder diffraction line list of TbHo2Ir (a PBE-relaxed structure; Cu Kα, 1.54184 Å).
Peak positions follow from Bragg's law for the DFT cell and can differ from measured ones.

Structural model:
```
8
Lattice="1.9422 -6.0348 0.0000 1.9422 6.0348 0.0000 0.0000 0.0000 9.0864" Properties=species:S:1:pos:R:3 pbc="T T T"
Tb 1.9422 5.1478 6.8148
Tb 1.9422 -5.1478 2.2716
Ho 1.9422 1.7175 5.1477
Ho 1.9422 1.7175 8.4819
Ho 1.9422 -1.7175 0.6045
Ho 1.9422 -1.7175 3.9387
Ir 1.9422 2.9967 2.2716
Ir 1.9422 -2.9967 6.8148
```

The 12 most intense peaks (2θ = 10–90°), in order of falling intensity:
2θ/deg	d_spacing	I (rel.)
33.6	2.671	100
31.2	2.867	72
33.1	2.707	60
38.4	2.343	56
58.5	1.577	37
32.0	2.795	37
35.7	2.514	31
14.7	6.035	30
46.8	1.942	28
60.8	1.523	27
49.6	1.839	23
82.5	1.169	19

=====

[5]
Structure and simulated powder diffraction line list of Tb2HoIr2 (a PBE-relaxed structure; Cu Kα, 1.54184 Å).
Peak positions follow from Bragg's law for the DFT cell and can differ from measured ones.

Structural model:
```
10
Lattice="5.5702 0.0000 0.0000 0.0000 4.3608 0.0000 -0.9869 0.0000 10.3122" Properties=species:S:1:pos:R:3 pbc="T T T"
Tb 0.2381 1.0902 3.9130
Tb 1.3679 1.0902 0.3216
Tb 3.2154 3.2706 9.9905
Tb 4.3452 3.2706 6.3991
Ho 1.5085 1.0902 7.2693
Ho 3.0748 3.2706 3.0428
Ir 0.4965 3.2706 8.8327
Ir 1.3790 3.2706 5.4073
Ir 3.2043 1.0902 4.9048
Ir 4.0868 1.0902 1.4794
```

The 12 most intense peaks (2θ = 10–90°), in order of falling intensity:
2θ/deg	d_spacing	I (rel.)
35.9	2.502	100
33.2	2.700	74
38.2	2.359	67
41.4	2.180	65
41.1	2.198	52
27.9	3.197	44
40.2	2.243	41
35.3	2.545	38
34.3	2.616	36
32.3	2.775	34
18.9	4.700	32
73.4	1.290	27

=====

[6]
Structure and simulated powder diffraction line list of Tb3HoIr4 (a PBE-relaxed structure; Cu Kα, 1.54184 Å).
Peak positions follow from Bragg's law for the DFT cell and can differ from measured ones.

Structural model:
```
8
Lattice="3.5899 0.0000 0.0000 0.0000 4.7475 0.0000 0.0000 0.0000 9.4955" Properties=species:S:1:pos:R:3 pbc="T T T"
Tb 0.0000 0.0000 0.0000
Tb 0.0000 2.3738 2.3825
Tb 0.0000 2.3738 7.1130
Ho 0.0000 0.0000 4.7477
Ir 1.7949 0.0000 2.3913
Ir 1.7949 0.0000 7.1041
Ir 1.7949 2.3738 0.0000
Ir 1.7949 2.3738 4.7477
```

The 10 most intense peaks (2θ = 10–90°), in order of falling intensity:
2θ/deg	d_spacing	I (rel.)
36.6	2.452	100
37.9	2.374	46
67.6	1.385	34
65.2	1.432	19
54.7	1.679	16
77.9	1.226	11
50.9	1.795	10
86.3	1.127	9
81.0	1.187	5
26.6	3.357	1

=====

[7]
Structure and simulated powder diffraction line list of TbHo3Ir (a PBE-relaxed structure; Cu Kα, 1.54184 Å).
Peak positions follow from Bragg's law for the DFT cell and can differ from measured ones.

Structural model:
```
10
Lattice="7.5877 0.0000 0.0000 0.0000 6.5109 0.0000 0.0000 0.0000 6.1589" Properties=species:S:1:pos:R:3 pbc="T T T"
Tb 0.0000 0.9842 0.0000
Tb 3.7939 5.5267 3.0794
Ho 0.0000 5.5117 3.0351
Ho 1.8928 2.0428 3.0615
Ho 1.9011 4.4682 6.1410
Ho 3.7939 0.9992 6.1145
Ho 5.6866 4.4682 6.1410
Ho 5.6949 2.0428 3.0615
Ir 0.0000 3.2666 4.5988
Ir 3.7939 3.2444 1.5193
```

The 12 most intense peaks (2θ = 10–90°), in order of falling intensity:
2θ/deg	d_spacing	I (rel.)
30.9	2.894	100
31.1	2.878	45
40.2	2.244	39
48.3	1.884	30
23.1	3.854	24
52.6	1.740	23
40.3	2.237	21
47.9	1.897	20
29.0	3.079	20
18.6	4.782	18
58.3	1.584	15
80.6	1.192	13

=====

[8]
Structure and simulated powder diffraction line list of TbHo3Ir8 (a PBE-relaxed structure; Cu Kα, 1.54184 Å).
Peak positions follow from Bragg's law for the DFT cell and can differ from measured ones.

Structural model:
```
12
Lattice="5.3566 0.0000 0.0000 -2.6783 4.6389 0.0000 0.0000 0.0000 8.7060" Properties=species:S:1:pos:R:3 pbc="T T T"
Tb 0.0000 0.0000 0.0000
Ho 0.0000 0.0000 3.1862
Ho 2.6783 1.5463 4.3499
Ho 2.6783 1.5463 7.5323
Ir 0.0000 1.5159 5.9395
Ir -1.3655 3.8810 5.9395
Ir 0.0000 3.0926 3.7660
Ir 0.0000 3.0926 8.1184
Ir 2.6783 0.0310 1.5949
Ir 1.3660 2.3040 1.5949
Ir 1.3655 3.8810 5.9395
Ir 3.9906 2.3040 1.5949
```

The 12 most intense peaks (2θ = 10–90°), in order of falling intensity:
2θ/deg	d_spacing	I (rel.)
39.5	2.281	100
40.2	2.241	99
36.5	2.460	68
67.2	1.393	32
70.3	1.339	31
44.2	2.047	28
61.8	1.501	27
63.9	1.457	25
33.5	2.678	23
41.5	2.177	21
85.1	1.141	17
46.1	1.970	15